1.
# Tm2TeO6
Calculated XRD peak list, Cu Kα X-rays. Input: a crystal structure in Alexandria, relaxed with PBE.

Top 10 peaks for 15° ≤ 2θ ≤ 90°, sorted by position:
- hkl 1 2 0, 2θ = 26.0°, I = 53.9
- hkl 1 1 2, 2θ = 26.6°, I = 93.0
- hkl 1 2 1, 2θ = 27.6°, I = 100.0
- hkl 0 1 3, 2θ = 28.7°, I = 34.4
- hkl 0 3 1, 2θ = 31.0°, I = 36.0
- hkl 1 1 3, 2θ = 33.5°, I = 62.0
- hkl 2 0 0, 2θ = 34.2°, I = 38.3
- hkl 0 3 2, 2θ = 34.8°, I = 24.9
- hkl 2 3 1, 2θ = 46.9°, I = 36.2
- hkl 1 5 1, 2θ = 54.4°, I = 32.6

Atomic structure:
Cell lengths 5.2378, 9.0474, 9.9197 Å; angles 90.00, 90.00, 90.00 degrees
Space group P2_12_12_1 (No. 19)
Unique sites:
Tm 0.0160 0.1036 0.4625 x4
Tm 0.0405 0.2169 0.8658 x4
Te 0.0364 0.4950 0.3509 x4
O 0.0939 0.8426 0.0299 x4
O 0.1714 0.9508 0.3032 x4
O 0.1774 0.6413 0.8211 x4
O 0.1895 0.6430 0.2372 x4
O 0.2375 0.1161 0.0688 x4
O 0.2422 0.5854 0.4966 x4

=====

2.
# CaTmTlBr6
Calculated XRD peak list, Cu Kα X-rays. Input: a crystal structure in Alexandria, relaxed with PBE.

Top 10 peaks for 15° ≤ 2θ ≤ 90°, sorted by position:
- hkl 1 0 1, 2θ = 15.1°, I = 24.9
- hkl 1 0 2, 2θ = 18.5°, I = 100.0
- hkl 2 -1 2, 2θ = 27.1°, I = 65.7
- hkl 2 0 2, 2θ = 30.5°, I = 23.7
- hkl 1 1 4, 2θ = 34.7°, I = 88.2
- hkl 2 1 2, 2θ = 39.2°, I = 34.5
- hkl 3 0 0, 2θ = 42.3°, I = 41.3
- hkl 4 -1 2, 2θ = 53.0°, I = 18.3
- hkl 4 -2 4, 2θ = 55.8°, I = 19.1
- hkl 4 1 4, 2θ = 72.4°, I = 16.4

Atomic structure:
Cell lengths 7.4082, 7.4082, 14.4150 Å; angles 90.00, 90.00, 120.00 degrees
Space group P-31c (No. 163)
Unique sites:
Ca 0.3333 0.6667 0.2500 x2
Tm 0.3333 0.6667 0.7500 x2
Tl 0.0000 0.0000 0.0000 x2
Br 0.0138 0.3763 0.6383 x12

=====

3.
# Cu2PbSe2Cl2O6
Calculated XRD peak list, Cu Kα X-rays. Input: a crystal structure in Alexandria, relaxed with PBE.

Top 10 peaks for 15° ≤ 2θ ≤ 90°, sorted by position:
- hkl 1 1 -1, 2θ = 16.6°, I = 37.5
- hkl 1 1 1, 2θ = 17.1°, I = 14.9
- hkl 3 1 0, 2θ = 21.9°, I = 17.3
- hkl 2 2 -1, 2θ = 25.6°, I = 100.0
- hkl 2 0 2, 2θ = 29.2°, I = 46.9
- hkl 4 2 -1, 2θ = 34.4°, I = 14.6
- hkl 4 2 1, 2θ = 35.5°, I = 32.4
- hkl 6 0 0, 2θ = 40.4°, I = 11.8
- hkl 0 2 3, 2θ = 42.6°, I = 24.6
- hkl 6 2 -3, 2θ = 58.6°, I = 12.5

Atomic structure:
Cell lengths 13.4044, 9.7273, 7.0883 Å; angles 90.00, 93.02, 90.00 degrees
Space group C2/c (No. 15)
Unique sites:
Cu 0.0000 0.1078 0.2500 x4
Cu 0.2500 0.2500 0.0000 x4
Pb 0.0000 0.3436 0.7500 x4
Se 0.1652 0.0992 0.5953 x8
Cl 0.1314 0.4050 0.1062 x8
O 0.0470 0.1543 0.5064 x8
O 0.1391 0.0599 0.1866 x8
O 0.1590 0.2146 0.7862 x8

=====

4.
# K2BaUSe4
Calculated XRD peak list, Cu Kα X-rays. Input: a crystal structure in Alexandria, relaxed with PBE.

Top 10 peaks for 15° ≤ 2θ ≤ 90°, sorted by position:
- hkl 1 1 0, 2θ = 23.3°, I = 22.5
- hkl 2 0 -2, 2θ = 27.5°, I = 47.2
- hkl 1 1 1, 2θ = 27.7°, I = 100.0
- hkl 1 1 2, 2θ = 35.8°, I = 17.8
- hkl 2 0 2, 2θ = 38.6°, I = 17.1
- hkl 1 1 -3, 2θ = 39.1°, I = 33.4
- hkl 3 1 -1, 2θ = 39.7°, I = 33.1
- hkl 0 2 0, 2θ = 40.6°, I = 18.9
- hkl 2 2 -2, 2θ = 49.7°, I = 28.9
- hkl 2 2 2, 2θ = 57.3°, I = 10.7

Atomic structure:
Cell lengths 7.9124, 4.4460, 8.0777 Å; angles 90.00, 108.62, 90.00 degrees
Space group P2/m (No. 10)
Unique sites:
K 0.0000 0.0000 0.0000 x1
K 0.5000 0.5000 0.0000 x1
Ba 0.0000 0.5000 0.5000 x1
U 0.5000 0.0000 0.5000 x1
Se 0.2802 0.0000 0.7142 x2
Se 0.2926 0.5000 0.2945 x2